Computed X-ray powder pattern of ZnP3H12NO13 for λ = 1.5418 Å (Cu Kα), from a DFT-relaxed cell (GGA-PBE, the Materials Project).

Atomic structure:
```
ZnP3H12NO13
1.0
7.4684 0.0000 0.0000
3.1263 8.2288 0.0000
2.5918 2.5588 9.7190
Zn P H N O
2 6 24 2 26
Direct
0.0000 0.0000 0.0000
0.5000 0.5000 0.5000
0.0747 0.5264 0.7572
0.1265 0.1214 0.2250
0.2999 0.2246 0.9321
0.7001 0.7754 0.0679
0.8735 0.8786 0.7750
0.9253 0.4736 0.2428
0.0297 0.7517 0.3909
0.1612 0.3252 0.5720
0.1665 0.1765 0.4951
0.1785 0.1269 0.6645
0.1839 0.6691 0.0649
0.2866 0.5237 0.3034
0.3188 0.8367 0.7996
0.3308 0.7716 0.0433
0.3641 0.8424 0.4353
0.4050 0.6582 0.2541
0.4271 0.7794 0.5829
0.4797 0.1369 0.2751
0.5203 0.8631 0.7249
0.5729 0.2206 0.4171
0.5950 0.3418 0.7459
0.6359 0.1576 0.5647
0.6692 0.2284 0.9567
0.6812 0.1633 0.2004
0.7134 0.4763 0.6966
0.8161 0.3309 0.9351
0.8215 0.8731 0.3355
0.8335 0.8235 0.5049
0.8388 0.6748 0.4280
0.9703 0.2483 0.6091
0.1190 0.2205 0.5835
0.8810 0.7795 0.4165
0.0510 0.0039 0.1914
0.0562 0.7114 0.7664
0.1210 0.4960 0.2239
0.1743 0.4214 0.8945
0.2064 0.1235 0.8922
0.2162 0.4902 0.6302
0.2226 0.0636 0.3509
0.2258 0.7659 0.0025
0.2781 0.1890 0.0967
0.3439 0.5869 0.3370
0.3954 0.8649 0.7088
0.4538 0.7490 0.4930
0.4901 0.7905 0.1225
0.5099 0.2095 0.8775
0.5462 0.2510 0.5070
0.6046 0.1351 0.2912
0.6561 0.4131 0.6630
0.7219 0.8110 0.9033
0.7742 0.2341 0.9975
0.7774 0.9364 0.6491
0.7838 0.5098 0.3698
0.7936 0.8765 0.1078
0.8257 0.5786 0.1055
0.8790 0.5040 0.7761
0.9438 0.2886 0.2336
0.9490 0.9961 0.8086
```

The 8 most intense peaks (2θ from 10° to 90°), sorted by position:
2theta, d (Å), I_rel, index
12.5, 7.108, 66, 0 1 1
14.1, 6.289, 100, 1 1 1
14.6, 6.085, 62, 1 0 1
16.1, 5.508, 73, 0 1 -1
16.9, 5.256, 38, 1 0 -1
19.4, 4.577, 41, 1 -1 0
27.0, 3.307, 75, 0 1 3
28.8, 3.096, 63, 2 1 -1